Record 1
Diffraction record for K3TlP2O8. The powder diffractogram is simulated, not measured: it uses DFT lattice parameters and positions (GGA-PBE) and Cu Kα X-rays.
No peak broadening, texture or thermal motion is included.

Structure:
```
K3TlP2O8
1.0
5.6349 0.0000 0.0000
-2.8174 4.8800 0.0000
0.0000 0.0000 7.9326
K Tl P O
3 1 2 8
direct
0.0000 0.0000 0.0000
0.3333 0.6667 0.7403
0.6667 0.3333 0.2597
0.0000 0.0000 0.5000
0.3333 0.6667 0.2571
0.6667 0.3333 0.7429
0.1811 0.3621 0.3207
0.1811 0.8189 0.3207
0.3333 0.6667 0.0654
0.3621 0.1811 0.6793
0.6379 0.8189 0.3207
0.6667 0.3333 0.9346
0.8189 0.1811 0.6793
0.8189 0.6379 0.6793
```

The 12 most intense peaks (15° ≤ 2θ ≤ 90°), in order of rising 2θ:
2θ (°)  I_rel
18.2  406
21.4  726
29.0  1000
31.8  672
38.6  153
38.7  159
43.5  425
50.8  167
50.9  122
54.9  292
56.8  237
74.0  135



Record 2
Diffraction record for RbLiTm2Br8. The powder diffractogram is simulated, not measured: it uses DFT lattice parameters and positions (GGA-PBE) and Cu Kα X-rays.
No peak broadening, texture or thermal motion is included.

Structure:
```
RbLiTm2Br8
1.0
7.0484 0.0000 0.0000
0.0000 8.5798 0.0000
-1.1094 0.0000 7.1803
Rb Li Tm Br
1 1 2 8
direct
0.0000 0.0000 0.0000
0.0000 0.5000 0.0000
0.5000 0.2592 0.5000
0.5000 0.7408 0.5000
0.2623 0.2868 0.1685
0.2623 0.7132 0.1685
0.2817 0.5000 0.6297
0.2943 0.0000 0.6201
0.7057 0.0000 0.3799
0.7183 0.5000 0.3703
0.7377 0.2868 0.8315
0.7377 0.7132 0.8315
```

The 12 most intense peaks (15° ≤ 2θ ≤ 90°), in order of rising 2θ:
2θ (°)  I_rel
16.3  1000
19.1  391
24.4  353
26.5  913
29.7  544
33.6  262
34.0  926
36.9  348
38.7  240
42.1  269
43.3  502
47.9  299



Record 3
Diffraction record for YNbOs2. The powder diffractogram is simulated, not measured: it uses DFT lattice parameters and positions (GGA-PBE) and Cu Kα X-rays.
No peak broadening, texture or thermal motion is included.

Structure:
```
YNbOs2
1.0
3.2188 0.0000 0.0000
0.0000 3.2188 0.0000
0.0000 0.0000 6.9872
Y Nb Os
1 1 2
direct
0.0000 0.0000 0.0000
0.0000 0.0000 0.5000
0.5000 0.5000 0.2817
0.5000 0.5000 0.7183
```

The 12 most intense peaks (15° ≤ 2θ ≤ 90°), in order of rising 2θ:
2θ (°)  I_rel
25.5  59
27.7  137
38.0  1000
39.6  497
48.2  84
52.4  70
57.2  169
67.6  130
70.8  321
73.9  49
81.3  78
85.3  55



Record 4
Diffraction record for Tm5AuSe4. The powder diffractogram is simulated, not measured: it uses DFT lattice parameters and positions (GGA-PBE) and Cu Kα X-rays.
No peak broadening, texture or thermal motion is included.

Structure:
```
Tm5AuSe4
1.0
-4.5327 4.5327 2.8765
4.5327 -4.5327 2.8765
4.5327 4.5327 -2.8765
Tm Au Se
5 1 4
direct
0.0000 0.0000 0.0000
0.2058 0.6005 0.8063
0.3995 0.2058 0.6053
0.6005 0.7942 0.3947
0.7942 0.3995 0.1937
0.5000 0.5000 0.0000
0.0953 0.3055 0.4008
0.3055 0.9047 0.2102
0.6945 0.0953 0.7898
0.9047 0.6945 0.5992
```

The 12 most intense peaks (15° ≤ 2θ ≤ 90°), in order of rising 2θ:
2θ (°)  I_rel
18.3  58
26.9  160
31.1  450
31.2  891
44.7  1000
55.5  352
64.8  55
65.1  108
73.7  152
73.9  297
82.2  115
82.3  225



Record 5
Diffraction record for Sm2Th2Ru3. The powder diffractogram is simulated, not measured: it uses DFT lattice parameters and positions (GGA-PBE) and Cu Kα X-rays.
No peak broadening, texture or thermal motion is included.

Structure:
```
Sm2Th2Ru3
1.0
2.3888 1.3791 8.6088
-2.3888 1.3791 8.6088
0.0000 -2.7583 8.6088
Sm Th Ru
2 2 3
direct
0.1278 0.1278 0.1278
0.8722 0.8722 0.8722
0.3790 0.3790 0.3790
0.6210 0.6210 0.6210
0.0000 0.0000 0.0000
0.2563 0.2563 0.2563
0.7437 0.7437 0.7437
```

The 12 most intense peaks (15° ≤ 2θ ≤ 90°), in order of rising 2θ:
2θ (°)  I_rel
25.6  395
27.6  86
35.3  1000
37.7  872
52.5  323
57.7  90
61.7  175
66.4  319
68.0  155
74.6  101
80.4  98
86.7  140



Record 6
Diffraction record for K2Zn2Si8O19. The powder diffractogram is simulated, not measured: it uses DFT lattice parameters and positions (GGA-PBE) and Cu Kα X-rays.
No peak broadening, texture or thermal motion is included.

Structure:
```
K2Zn2Si8O19
1.0
7.0240 -2.5862 0.0000
7.0240 2.5862 0.0000
-3.7192 0.0000 12.0268
K Zn Si O
2 2 8 19
direct
0.1229 0.1229 0.1488
0.8771 0.8771 0.8512
0.1572 0.2427 0.9108
0.7573 0.8428 0.0892
0.2605 0.1448 0.6585
0.3151 0.6801 0.3315
0.3199 0.6849 0.6685
0.3920 0.4601 0.0738
0.5399 0.6080 0.9262
0.6816 0.0663 0.5749
0.8552 0.7395 0.3415
0.9337 0.3184 0.4251
0.0018 0.8477 0.6312
0.0148 0.3319 0.5584
0.1310 0.5073 0.0316
0.1437 0.6430 0.3551
0.1523 0.9982 0.3688
0.1722 0.3126 0.7793
0.3432 0.6272 0.1999
0.3570 0.8563 0.6449
0.3685 0.6315 0.0000
0.3728 0.6568 0.8001
0.4927 0.8690 0.9684
0.5342 0.3790 0.6001
0.5354 0.0443 0.6366
0.6210 0.4658 0.3999
0.6681 0.9852 0.4416
0.6874 0.8278 0.2207
0.6894 0.1391 0.0678
0.8609 0.3106 0.9322
0.9557 0.4646 0.3634
```

The 12 most intense peaks (15° ≤ 2θ ≤ 90°), in order of rising 2θ:
2θ (°)  I_rel
16.6  203
24.9  384
25.7  218
26.3  1000
28.7  179
29.0  408
29.2  180
29.7  282
30.5  210
35.2  196
35.5  201
49.5  176